[1]
For NdIn6Cu6, a crystal structure in the Materials Project, relaxed with GGA-PBE gives the computed X-ray powder pattern in this record (copper Kα).
Kinematic intensities with the Lorentz-polarization factor, no thermal factor.

The 12 most intense peaks (10 to 90 degrees two-theta), in order of rising 2θ:
2θ (°)  d_spacing  I_rel  index
32.17  2.782  32.4  2 0 0
33.15  2.703  55.3  1 0 3
33.31  2.690  21.5  1 3 0
37.74  2.383  59.6  2 2 0
38.65  2.329  100.0  1 2 3
38.84  2.319  15.9  0 0 4
39.09  2.304  28.9  0 4 0
42.67  2.119  46.6  2 2 2
43.66  2.073  27.3  0 2 4
61.72  1.503  24.3  3 2 3
69.57  1.351  17.2  2 0 6
70.52  1.335  21.3  1 6 3

Crystal structure
```
data_NdIn6Cu6
_symmetry_space_group_name_H-M 'I m m m'
_symmetry_Int_Tables_number 71
_symmetry_space_group_name_Hall '-I 2 2'
_cell_length_a 5.564
_cell_length_b 9.217
_cell_length_c 9.276
_cell_angle_alpha 90.00
_cell_angle_beta 90.00
_cell_angle_gamma 90.00
loop_
_atom_site_label
_atom_site_type_symbol
_atom_site_fract_x
_atom_site_fract_y
_atom_site_fract_z
_atom_site_occupancy
Nd1 Nd 0.000 0.000 0.000 1
In1 In 0.000 0.000 0.345 1
In2 In 0.000 0.338 0.000 1
In3 In 0.000 0.500 0.310 1
Cu1 Cu 0.000 0.269 0.500 1
Cu2 Cu 0.250 0.250 0.250 1
```

---

[2]
For Ba2Ti6N2O11, a crystal structure in the Materials Project, relaxed with GGA-PBE gives the computed X-ray powder pattern in this record (copper Kα).
Kinematic intensities with the Lorentz-polarization factor, no thermal factor.

The 12 most intense peaks (10 to 90 degrees two-theta), in order of rising 2θ:
2θ (°)  d_spacing  I_rel  index
16.00  5.539  25.4  2 0 1
19.32  4.595  48.1  0 0 2
23.84  3.732  42.0  4 0 -1
28.70  3.110  60.3  3 1 0
29.55  3.023  73.9  3 1 -1
29.89  2.990  29.0  2 0 -3
30.05  2.974  42.7  1 1 -2
31.10  2.876  100.0  1 1 2
35.02  2.562  27.0  6 0 -1
42.66  2.119  31.7  6 0 2
43.02  2.103  36.5  4 0 -4
46.43  1.956  45.1  0 2 0

Crystal structure
```
data_Ba2Ti6N2O11
_symmetry_space_group_name_H-M 'C 1 m 1'
_symmetry_Int_Tables_number 8
_cell_length_a 15.530
_cell_length_b 3.911
_cell_length_c 9.277
_cell_angle_alpha 90.00
_cell_angle_beta 97.84
_cell_angle_gamma 90.00
loop_
_symmetry_equiv_pos_as_xyz
'x,y,z'
'x,-y,z'
'x+1/2,y+1/2,z'
'x+1/2,-y+1/2,z'
loop_
_atom_site_label
_atom_site_type_symbol
_atom_site_fract_x
_atom_site_fract_y
_atom_site_fract_z
_atom_site_occupancy
Ba1 Ba 0.000 0.000 0.000 1
Ba2 Ba 0.100 0.000 0.539 1
Ti1 Ti 0.164 0.500 0.863 1
Ti2 Ti 0.217 0.500 0.215 1
Ti3 Ti 0.298 0.500 0.555 1
Ti4 Ti 0.309 0.000 0.003 1
Ti5 Ti 0.378 0.000 0.336 1
Ti6 Ti 0.434 0.000 0.681 1
N1 N 0.050 0.500 0.775 1
N2 N 0.408 0.500 0.664 1
O1 O 0.123 0.500 0.071 1
O2 O 0.173 0.500 0.384 1
O3 O 0.190 0.000 0.892 1
O4 O 0.216 0.500 0.686 1
O5 O 0.250 0.000 0.204 1
O6 O 0.292 0.500 0.021 1
O7 O 0.305 0.000 0.525 1
O8 O 0.346 0.500 0.346 1
O9 O 0.381 0.000 0.867 1
O10 O 0.416 0.000 0.158 1
O11 O 0.474 0.000 0.472 1
```

---

[3]
For Mo3WSe4S4, a crystal structure in the Materials Project, relaxed with GGA-PBE gives the computed X-ray powder pattern in this record (copper Kα).
Kinematic intensities with the Lorentz-polarization factor, no thermal factor.

The 12 most intense peaks (10 to 90 degrees two-theta), in order of rising 2θ:
2θ (°)  d_spacing  I_rel  index
12.01  7.372  100.0  0 0 5
14.42  6.143  19.6  0 0 6
31.78  2.816  33.0  1 0 0
32.14  2.785  10.5  1 0 2
34.06  2.632  14.7  1 0 5
37.41  2.404  66.0  1 0 8
45.38  1.999  40.2  0 1 13
47.25  1.924  12.7  1 0 14
56.58  1.627  21.6  1 1 0
58.07  1.589  10.1  1 1 5
69.81  1.347  10.5  0 2 8
80.50  1.193  10.8  1 1 21

Crystal structure
```
data_Mo3WSe4S4
_symmetry_space_group_name_H-M 'P 3 m 1'
_symmetry_Int_Tables_number 156
_cell_length_a 3.2535
_cell_length_b 3.2535
_cell_length_c 36.8606
_cell_angle_alpha 90.00
_cell_angle_beta 90.00
_cell_angle_gamma 120.00
loop_
_symmetry_equiv_pos_as_xyz
'x,y,z'
'-y,x-y,z'
'-x+y,-x,z'
'-y,-x,z'
'-x+y,y,z'
'x,x-y,z'
loop_
_atom_site_label
_atom_site_type_symbol
_atom_site_fract_x
_atom_site_fract_y
_atom_site_fract_z
_atom_site_occupancy
Mo1 Mo 0.0000 0.0000 0.0000 1
Mo2 Mo 0.0000 0.0000 0.3758 1
Mo3 Mo 0.3333 0.6667 0.1879 1
W1 W 0.3333 0.6667 0.5636 1
Se1 Se 0.0000 0.0000 0.1418 1
Se2 Se 0.0000 0.0000 0.2340 1
Se3 Se 0.3333 0.6667 0.0461 1
Se4 Se 0.3333 0.6667 0.9539 1
S1 S 0.0000 0.0000 0.5216 1
S2 S 0.0000 0.0000 0.6057 1
S3 S 0.3333 0.6667 0.3339 1
S4 S 0.3333 0.6667 0.4177 1
```

---

[4]
For Li2AcSn, a crystal structure in the Materials Project, relaxed with GGA-PBE gives the computed X-ray powder pattern in this record (copper Kα).
Kinematic intensities with the Lorentz-polarization factor, no thermal factor.

The 12 most intense peaks (10 to 90 degrees two-theta), in order of rising 2θ:
2θ (°)  d_spacing  I_rel  index
21.26  4.179  16.6  1 1 1
24.60  3.619  100.0  2 0 0
35.07  2.559  92.2  2 2 0
41.37  2.182  9.2  3 1 1
43.30  2.089  30.8  2 2 2
50.43  1.809  16.9  4 0 0
56.89  1.618  42.1  4 2 0
62.91  1.477  35.3  4 2 2
74.10  1.279  11.1  4 4 0
79.45  1.206  20.9  6 0 0
84.70  1.144  16.1  6 2 0
89.91  1.091  13.0  6 2 2

Crystal structure
```
data_Li2AcSn
_symmetry_space_group_name_H-M 'F m -3 m'
_symmetry_Int_Tables_number 225
_symmetry_space_group_name_Hall '-F 4 2 3'
_cell_length_a 7.238
_cell_length_b 7.238
_cell_length_c 7.238
_cell_angle_alpha 90.00
_cell_angle_beta 90.00
_cell_angle_gamma 90.00
loop_
_atom_site_label
_atom_site_type_symbol
_atom_site_fract_x
_atom_site_fract_y
_atom_site_fract_z
_atom_site_occupancy
Li1 Li 0.250 0.250 0.250 1
Ac1 Ac 0.000 0.000 0.000 1
Sn1 Sn 0.000 0.000 0.500 1
```

---

[5]
For Ba2LiTmCu3O7, a crystal structure in the Materials Project, relaxed with GGA-PBE gives the computed X-ray powder pattern in this record (copper Kα).
Kinematic intensities with the Lorentz-polarization factor, no thermal factor.

The 12 most intense peaks (10 to 90 degrees two-theta), in order of rising 2θ:
2θ (°)  d_spacing  I_rel  index
31.30  2.858  38.9  1 0 -1
31.50  2.840  92.1  0 3 1
32.27  2.774  58.9  1 0 1
32.53  2.753  100.0  1 3 0
39.79  2.265  15.2  1 3 1
44.03  2.056  23.5  0 0 2
46.24  1.963  22.0  0 6 0
47.08  1.930  22.8  2 0 0
56.42  1.631  18.0  1 3 2
56.90  1.618  17.2  1 6 -1
57.51  1.602  22.2  1 6 1
58.35  1.581  17.3  2 3 1

Crystal structure
```
data_Ba2LiTmCu3O7
_symmetry_space_group_name_H-M 'P 1 m 1'
_symmetry_Int_Tables_number 6
_cell_length_a 3.862
_cell_length_b 11.780
_cell_length_c 4.115
_cell_angle_alpha 90.00
_cell_angle_beta 91.71
_cell_angle_gamma 90.00
loop_
_symmetry_equiv_pos_as_xyz
'x,y,z'
'x,-y,z'
loop_
_atom_site_label
_atom_site_type_symbol
_atom_site_fract_x
_atom_site_fract_y
_atom_site_fract_z
_atom_site_occupancy
Ba1 Ba 0.000 0.177 0.000 1
Li1 Li 0.337 0.500 0.688 1
Tm1 Tm 0.922 0.500 0.112 1
Cu1 Cu 0.497 0.000 0.503 1
Cu2 Cu 0.498 0.333 0.500 1
O1 O 0.473 0.382 0.014 1
O2 O 0.497 0.159 0.503 1
O3 O 0.498 0.000 0.004 1
O4 O 0.995 0.381 0.527 1
```

---

[6]
For Mg6ZrZn, a crystal structure in the Materials Project, relaxed with GGA-PBE gives the computed X-ray powder pattern in this record (copper Kα).
Kinematic intensities with the Lorentz-polarization factor, no thermal factor.

The 12 most intense peaks (10 to 90 degrees two-theta), in order of rising 2θ:
2θ (°)  d_spacing  I_rel  index
15.58  5.688  42.5  0 0 2
17.85  4.970  29.6  1 0 0
23.77  3.743  27.8  1 0 2
33.47  2.678  39.3  0 2 2
36.15  2.485  40.3  2 0 0
36.40  2.469  67.3  1 0 4
38.18  2.357  100.0  1 2 2
50.08  1.821  24.3  2 2 2
57.29  1.608  18.3  0 2 6
66.35  1.409  18.3  3 2 2
69.64  1.350  19.7  2 2 6
73.22  1.293  16.4  1 4 4

Crystal structure
```
data_Mg6ZrZn
_symmetry_space_group_name_H-M 'A m m 2'
_symmetry_Int_Tables_number 38
_cell_length_a 4.970
_cell_length_b 6.070
_cell_length_c 11.377
_cell_angle_alpha 90.00
_cell_angle_beta 90.00
_cell_angle_gamma 90.00
loop_
_symmetry_equiv_pos_as_xyz
'x,y,z'
'-x,-y,z'
'-x,y,z'
'x,-y,z'
'x,y+1/2,z+1/2'
'-x,-y+1/2,z+1/2'
'-x,y+1/2,z+1/2'
'x,-y+1/2,z+1/2'
loop_
_atom_site_label
_atom_site_type_symbol
_atom_site_fract_x
_atom_site_fract_y
_atom_site_fract_z
_atom_site_occupancy
Mg1 Mg 0.000 0.000 0.000 1
Mg2 Mg 0.000 0.000 0.486 1
Mg3 Mg 0.000 0.246 0.750 1
Mg4 Mg 0.500 0.250 0.094 1
Zr1 Zr 0.500 0.000 0.846 1
Zn1 Zn 0.500 0.000 0.331 1
```